# 1
This entry pairs a crystal structure of FeOF with its calculated powder diffraction line list. Radiation: Cu Kα X-rays. Structure: a cell relaxed with PBE+U.
Intensities are scaled so that the largest is 100.

Main lines, low angle first (2θ from 10° to 90°):
(2 0 -2), 26.40°, rel. 93; (2 0 2), 26.66°, rel. 92; (0 1 2), 34.61°, rel. 100; (2 1 -2), 39.52°, rel. 18; (2 1 2), 39.70°, rel. 15; (2 1 -4), 52.08°, rel. 53; (2 1 4), 52.37°, rel. 52; (4 0 -4), 54.34°, rel. 14; (4 0 4), 54.91°, rel. 14; (0 2 0), 59.81°, rel. 18; (0 1 6), 66.19°, rel. 19; (6 1 0), 66.40°, rel. 16

Cell and atoms:
```
data_FeOF
_chemical_formula_sum 'Fe8 O8 F8'
_cell_length_a 9.4881
_cell_length_b 3.0924
_cell_length_c 9.5211
_cell_angle_alpha 90.00
_cell_angle_beta 90.55
_cell_angle_gamma 90.00
_symmetry_space_group_name_H-M 'P 1 m 1'
_symmetry_Int_Tables_number 6
loop_
_symmetry_equiv_pos_as_xyz
'x,y,z'
'x,-y,z'
loop_
_atom_site_label
_atom_site_fract_x
_atom_site_fract_y
_atom_site_fract_z
Fe1 0.0000 0.0000 0.0000
Fe2 0.0192 0.0000 0.4975
Fe3 0.2604 0.5000 0.7233
Fe4 0.2997 0.5000 0.2399
Fe5 0.4989 0.0000 0.5016
Fe6 0.5191 0.0000 0.9954
Fe7 0.7634 0.5000 0.7744
Fe8 0.7950 0.5000 0.2568
O1 0.1631 0.0000 0.6418
O2 0.3689 0.0000 0.3424
O3 0.4211 0.5000 0.5980
O4 0.4241 0.5000 0.0867
O5 0.6117 0.5000 0.9004
O6 0.8697 0.0000 0.8411
O7 0.8745 0.0000 0.3549
O8 0.9249 0.5000 0.0975
F1 0.1174 0.5000 0.3963
F2 0.1201 0.5000 0.8985
F3 0.1735 0.0000 0.1455
F4 0.3552 0.0000 0.8379
F5 0.6202 0.5000 0.4042
F6 0.6728 0.0000 0.6457
F7 0.6769 0.0000 0.1621
F8 0.9194 0.5000 0.5944
```

***

# 2
This entry pairs a crystal structure of KAsW2O9 with its calculated powder diffraction line list. Radiation: Cu Kα X-rays. Structure: a cell relaxed with PBE+U.
Intensities are scaled so that the largest is 100.

Main lines, low angle first (2θ from 10° to 90°):
(0 1 1), 10.75°, rel. 54; (0 1 2), 13.99°, rel. 100; (0 1 3), 18.18°, rel. 23; (1 1 2), 22.48°, rel. 51; (0 2 3), 24.55°, rel. 23; (1 1 3), 25.34°, rel. 62; (1 2 0), 25.89°, rel. 26; (1 2 1), 26.42°, rel. 63; (1 0 4), 27.25°, rel. 46; (1 0 5), 31.50°, rel. 22; (0 2 5), 32.34°, rel. 26; (2 2 4), 45.90°, rel. 20

Cell and atoms:
```
data_KAsW2O9
_chemical_formula_sum 'K4 As4 W8 O36'
_cell_length_a 5.0653
_cell_length_b 9.3793
_cell_length_c 17.1496
_cell_angle_alpha 90.00
_cell_angle_beta 90.00
_cell_angle_gamma 90.00
_symmetry_space_group_name_H-M 'P 21 21 21'
_symmetry_Int_Tables_number 19
loop_
_symmetry_equiv_pos_as_xyz
'x,y,z'
'-x+1/2,-y,z+1/2'
'x+1/2,-y+1/2,-z'
'-x,y+1/2,-z+1/2'
loop_
_atom_site_label
_atom_site_fract_x
_atom_site_fract_y
_atom_site_fract_z
K1 0.2226 0.0500 0.4081
As1 0.1490 0.2682 0.2245
W1 0.1170 0.0658 0.6664
W2 0.1376 0.6342 0.4491
O1 0.0128 0.7064 0.8896
O2 0.0237 0.2917 0.1334
O3 0.0821 0.8140 0.2058
O4 0.0838 0.6162 0.7344
O5 0.1242 0.2159 0.9772
O6 0.1502 0.4269 0.8604
O7 0.1541 0.0138 0.0905
O8 0.2341 0.0962 0.2464
O9 0.2496 0.4972 0.0145
```